[1]
This entry pairs a crystal structure of TbPtPb2O6 with its computed PXRD pattern. Radiation: a wavelength of 1.5418 Å. Structure: DFT lattice parameters and positions (GGA-PBE).

Structure:
```
data_TbPtPb2O6
_chemical_formula_sum 'Tb2 Pt2 Pb4 O12'
_space_group_name_H-M_alt 'P 1 21/c 1'
_space_group_IT_number 14
_cell_length_a 5.846
_cell_length_b 5.916
_cell_length_c 10.150
_cell_angle_alpha 90.00
_cell_angle_beta 125.05
_cell_angle_gamma 90.00
loop_
_space_group_symop_operation_xyz
'x,y,z'
'-x,-y,-z'
'-x,y+1/2,-z+1/2'
'x,-y+1/2,z+1/2'
loop_
_atom_site_label
_atom_site_type_symbol
_atom_site_fract_x
_atom_site_fract_y
_atom_site_fract_z
Tb1 Tb 0.000 0.000 0.000
Pt1 Pt 0.500 0.000 0.500
Pb1 Pb 0.260 0.037 0.752
O1 O 0.178 0.025 0.266
O2 O 0.272 0.696 0.046
O3 O 0.354 0.222 0.044
```

Principal peaks in the range 2θ from 5° to 70°, in order of falling intensity:
2θ = 30.4°, I 100, (1 1 -3); 2θ = 43.5°, I 35, (0 0 4); 2θ = 54.3°, I 28, (3 1 -5); 2θ = 30.6°, I 25, (2 0 -2); 2θ = 30.2°, I 24, (0 2 0); 2θ = 53.8°, I 17, (1 3 -3)


[2]
This entry pairs a crystal structure of Mg4In7Ga with its computed PXRD pattern. Radiation: a wavelength of 1.5418 Å. Structure: DFT lattice parameters and positions (GGA-PBE).

Structure:
```
data_Mg4In7Ga
_chemical_formula_sum 'Mg4 In7 Ga1'
_space_group_name_H-M_alt 'P -1'
_space_group_IT_number 2
_cell_length_a 4.613
_cell_length_b 5.638
_cell_length_c 12.398
_cell_angle_alpha 91.45
_cell_angle_beta 99.78
_cell_angle_gamma 113.74
loop_
_space_group_symop_operation_xyz
'x,y,z'
'-x,-y,-z'
loop_
_atom_site_label
_atom_site_type_symbol
_atom_site_fract_x
_atom_site_fract_y
_atom_site_fract_z
Mg1 Mg 0.006 0.350 0.160
Mg2 Mg 0.254 0.596 0.415
In1 In 0.000 0.000 0.500
In2 In 0.249 0.239 0.755
In3 In 0.255 0.927 0.082
In4 In 0.482 0.800 0.665
Ga1 Ga 0.500 0.500 0.000
```

Principal peaks in the range 2θ from 5° to 70°, in order of falling intensity:
2θ = 33.5°, I 100, (1 1 -2); 2θ = 33.9°, I 50, (1 0 3); 2θ = 34.5°, I 48, (-1 1 4); 2θ = 39.1°, I 34, (-2 1 1); 2θ = 39.5°, I 34, (0 2 2); 2θ = 39.3°, I 32, (0 1 -5)


[3]
This entry pairs a crystal structure of Pm2Y12Sc5 with its computed PXRD pattern. Radiation: a wavelength of 1.5418 Å. Structure: DFT lattice parameters and positions (GGA-PBE).

Structure:
```
data_Pm2Y12Sc5
_chemical_formula_sum 'Pm4 Y24 Sc10'
_space_group_name_H-M_alt 'C 1 2/m 1'
_space_group_IT_number 12
_cell_length_a 16.077
_cell_length_b 8.754
_cell_length_c 8.403
_cell_angle_alpha 90.00
_cell_angle_beta 91.02
_cell_angle_gamma 90.00
loop_
_space_group_symop_operation_xyz
'x,y,z'
'-x,-y,-z'
'-x,y,-z'
'x,-y,z'
'x+1/2,y+1/2,z'
'-x+1/2,-y+1/2,-z'
'-x+1/2,y+1/2,-z'
'x+1/2,-y+1/2,z'
loop_
_atom_site_label
_atom_site_type_symbol
_atom_site_fract_x
_atom_site_fract_y
_atom_site_fract_z
Pm1 Pm 0.000 0.213 0.000
Y1 Y 0.055 0.500 0.276
Y2 Y 0.110 0.291 0.612
Y3 Y 0.167 0.000 0.871
Y4 Y 0.188 0.204 0.224
Sc1 Sc 0.000 0.000 0.500
Sc2 Sc 0.146 0.500 0.940
Sc3 Sc 0.245 0.000 0.549
```

Principal peaks in the range 2θ from 5° to 70°, in order of falling intensity:
2θ = 32.2°, I 100, (4 2 1); 2θ = 31.4°, I 85, (2 2 -2); 2θ = 34.1°, I 41, (2 0 3); 2θ = 32.9°, I 38, (1 3 -1); 2θ = 35.0°, I 37, (6 0 -1); 2θ = 55.1°, I 18, (7 3 -2)


[4]
This entry pairs a crystal structure of LiNb2CoHg with its computed PXRD pattern. Radiation: a wavelength of 1.5418 Å. Structure: DFT lattice parameters and positions (GGA-PBE).

Structure:
```
data_LiNb2CoHg
_chemical_formula_sum 'Li1 Nb2 Co1 Hg1'
_space_group_name_H-M_alt 'P 4/m m m'
_space_group_IT_number 123
_space_group_name_Hall '-P 4 2'
_cell_length_a 4.457
_cell_length_b 4.457
_cell_length_c 4.050
_cell_angle_alpha 90.00
_cell_angle_beta 90.00
_cell_angle_gamma 90.00
loop_
_atom_site_label
_atom_site_type_symbol
_atom_site_fract_x
_atom_site_fract_y
_atom_site_fract_z
Li1 Li 0.000 0.000 0.000
Nb1 Nb 0.000 0.500 0.000
Co1 Co 0.000 0.000 0.500
Hg1 Hg 0.500 0.500 0.500
```

Principal peaks in the range 2θ from 5° to 70°, in order of falling intensity:
2θ = 36.1°, I 100, (1 1 1); 2θ = 40.5°, I 38, (2 0 0); 2θ = 61.9°, I 21, (2 0 2); 2θ = 19.9°, I 18, (1 0 0); 2θ = 29.8°, I 17, (1 0 1); 2θ = 44.7°, I 14, (0 0 2)


[5]
This entry pairs a crystal structure of Na8B13C3 with its computed PXRD pattern. Radiation: a wavelength of 1.5418 Å. Structure: DFT lattice parameters and positions (GGA-PBE).

Structure:
```
data_Na8B13C3
_chemical_formula_sum 'Na8 B13 C3'
_space_group_name_H-M_alt 'P m m 2'
_space_group_IT_number 25
_cell_length_a 2.914
_cell_length_b 8.622
_cell_length_c 10.299
_cell_angle_alpha 90.00
_cell_angle_beta 90.00
_cell_angle_gamma 90.00
loop_
_space_group_symop_operation_xyz
'x,y,z'
'-x,-y,z'
'-x,y,z'
'x,-y,z'
loop_
_atom_site_label
_atom_site_type_symbol
_atom_site_fract_x
_atom_site_fract_y
_atom_site_fract_z
Na1 Na 0.000 0.247 0.000
Na2 Na 0.000 0.250 0.497
Na3 Na 0.500 0.249 0.249
Na4 Na 0.500 0.252 0.747
B1 B 0.000 0.000 0.335
B2 B 0.000 0.000 0.809
B3 B 0.000 0.500 0.162
B4 B 0.000 0.500 0.329
B5 B 0.000 0.500 0.669
B6 B 0.000 0.500 0.833
B7 B 0.500 0.000 0.095
B8 B 0.500 0.000 0.574
B9 B 0.500 0.000 0.921
B10 B 0.500 0.500 0.085
B11 B 0.500 0.500 0.415
B12 B 0.500 0.500 0.578
B13 B 0.500 0.500 0.917
C1 C 0.000 0.000 0.175
C2 C 0.000 0.000 0.656
C3 C 0.500 0.000 0.415
```

Principal peaks in the range 2θ from 5° to 70°, in order of falling intensity:
2θ = 41.3°, I 100, (1 2 2); 2θ = 40.8°, I 49, (0 2 4); 2θ = 41.9°, I 36, (0 4 0); 2θ = 35.4°, I 18, (1 0 2); 2θ = 62.8°, I 17, (1 0 6); 2θ = 34.8°, I 11, (0 0 4)


[6]
This entry pairs a crystal structure of HoEr2 with its computed PXRD pattern. Radiation: a wavelength of 1.5418 Å. Structure: DFT lattice parameters and positions (GGA-PBE).

Structure:
```
data_HoEr2
_chemical_formula_sum 'Ho4 Er8'
_space_group_name_H-M_alt 'C 1 2/c 1'
_space_group_IT_number 15
_cell_length_a 10.742
_cell_length_b 6.201
_cell_length_c 6.619
_cell_angle_alpha 90.00
_cell_angle_beta 122.80
_cell_angle_gamma 90.00
loop_
_space_group_symop_operation_xyz
'x,y,z'
'-x,-y,-z'
'-x,y,-z+1/2'
'x,-y,z+1/2'
'x+1/2,y+1/2,z'
'-x+1/2,-y+1/2,-z'
'-x+1/2,y+1/2,-z+1/2'
'x+1/2,-y+1/2,z+1/2'
loop_
_atom_site_label
_atom_site_type_symbol
_atom_site_fract_x
_atom_site_fract_y
_atom_site_fract_z
Ho1 Ho 0.000 0.084 0.250
Er1 Er 0.167 0.417 0.750
```

Principal peaks in the range 2θ from 5° to 70°, in order of falling intensity:
2θ = 33.1°, I 100, (0 2 1); 2θ = 28.8°, I 24, (3 1 -1); 2θ = 32.2°, I 24, (0 0 2); 2θ = 61.6°, I 23, (6 0 0); 2θ = 57.9°, I 20, (0 2 3); 2θ = 51.0°, I 20, (6 0 -2)


[7]
This entry pairs a crystal structure of Sm2Dy5Tm5 with its computed PXRD pattern. Radiation: a wavelength of 1.5418 Å. Structure: DFT lattice parameters and positions (GGA-PBE).

Structure:
```
data_Sm2Dy5Tm5
_chemical_formula_sum 'Sm4 Dy10 Tm10'
_space_group_name_H-M_alt 'C 1 2/m 1'
_space_group_IT_number 12
_cell_length_a 14.988
_cell_length_b 4.991
_cell_length_c 11.174
_cell_angle_alpha 90.00
_cell_angle_beta 116.55
_cell_angle_gamma 90.00
loop_
_space_group_symop_operation_xyz
'x,y,z'
'-x,-y,-z'
'-x,y,-z'
'x,-y,z'
'x+1/2,y+1/2,z'
'-x+1/2,-y+1/2,-z'
'-x+1/2,y+1/2,-z'
'x+1/2,-y+1/2,z'
loop_
_atom_site_label
_atom_site_type_symbol
_atom_site_fract_x
_atom_site_fract_y
_atom_site_fract_z
Sm1 Sm 0.083 0.000 0.249
Dy1 Dy 0.000 0.500 0.000
Dy2 Dy 0.085 0.500 0.751
Dy3 Dy 0.166 0.500 0.500
Tm1 Tm 0.000 0.000 0.500
Tm2 Tm 0.168 0.000 0.000
Tm3 Tm 0.249 0.000 0.750
```

Principal peaks in the range 2θ from 5° to 70°, in order of falling intensity:
2θ = 31.0°, I 100, (3 1 1); 2θ = 36.0°, I 51, (0 2 0); 2θ = 61.6°, I 43, (3 3 1); 2θ = 51.8°, I 36, (6 0 2); 2θ = 64.6°, I 12, (6 2 2)


[8]
This entry pairs a crystal structure of Ca10Nb5InO24 with its computed PXRD pattern. Radiation: a wavelength of 1.5418 Å. Structure: DFT lattice parameters and positions (GGA-PBE).

Structure:
```
data_Ca10Nb5InO24
_chemical_formula_sum 'Ca10 Nb5 In1 O24'
_space_group_name_H-M_alt 'P 1'
_space_group_IT_number 1
_cell_length_a 8.083
_cell_length_b 8.087
_cell_length_c 9.843
_cell_angle_alpha 113.32
_cell_angle_beta 113.02
_cell_angle_gamma 92.39
loop_
_space_group_symop_operation_xyz
'x,y,z'
loop_
_atom_site_label
_atom_site_type_symbol
_atom_site_fract_x
_atom_site_fract_y
_atom_site_fract_z
Ca1 Ca 0.000 0.000 0.000
Ca2 Ca 0.002 0.497 0.018
Ca3 Ca 0.112 0.655 0.762
Ca4 Ca 0.208 0.304 0.525
Ca5 Ca 0.217 0.823 0.510
Ca6 Ca 0.355 0.402 0.257
Ca7 Ca 0.517 0.006 0.027
Ca8 Ca 0.531 0.523 0.028
Ca9 Ca 0.693 0.794 0.500
Ca10 Ca 0.702 0.306 0.498
Nb1 Nb 0.096 0.155 0.765
Nb2 Nb 0.350 0.901 0.258
Nb3 Nb 0.599 0.170 0.763
Nb4 Nb 0.600 0.667 0.756
Nb5 Nb 0.876 0.412 0.270
In1 In 0.863 0.908 0.266
O1 O 0.022 0.338 0.676
O2 O 0.045 0.312 0.174
O3 O 0.069 0.553 0.490
O4 O 0.159 0.996 0.335
O5 O 0.163 0.760 0.036
O6 O 0.199 0.971 0.839
O7 O 0.252 0.363 0.983
O8 O 0.341 0.172 0.706
O9 O 0.348 0.706 0.332
O10 O 0.408 0.624 0.823
O11 O 0.413 0.120 0.231
O12 O 0.462 0.465 0.535
O13 O 0.530 0.879 0.714
O14 O 0.559 0.068 0.528
O15 O 0.576 0.826 0.222
O16 O 0.659 0.240 0.998
O17 O 0.661 0.484 0.312
O18 O 0.689 0.424 0.816
O19 O 0.762 0.842 0.005
O20 O 0.818 0.688 0.714
O21 O 0.831 0.188 0.305
O22 O 0.881 0.130 0.809
O23 O 0.883 0.619 0.203
O24 O 0.964 0.952 0.525
```

Principal peaks in the range 2θ from 5° to 70°, in order of falling intensity:
2θ = 31.3°, I 100, (2 0 -3); 2θ = 22.0°, I 43, (0 2 -1); 2θ = 44.9°, I 27, (4 0 -2); 2θ = 30.6°, I 24, (2 -2 0); 2θ = 32.0°, I 21, (2 2 -2); 2θ = 56.5°, I 19, (2 4 -5)